Structure and computed powder X-ray diffraction pattern of ScSn2 (a cell relaxed with GGA-PBE; λ = 1.5418 Å (Cu Kα)).
Lines closer than 0.1° are merged.

Main lines, by angle (10° ≤ 2θ ≤ 80°):
| 2θ/deg | I/Imax | index |
| --- | --- | --- |
| 34.24 | 100 | 1 1 6 |
| 34.37 | 21 | 0 0 12 |
| 42.21 | 30 | 2 0 0 |
| 55.52 | 22 | 2 0 12 |
| 61.47 | 12 | 1 1 18 |
| 72.08 | 34 | 3 1 6 |

Crystal structure
```
data_ScSn2
_chemical_formula_sum 'Sc8 Sn16'
_cell_length_a 4.282
_cell_length_b 4.282
_cell_length_c 31.314
_cell_angle_alpha 90.00
_cell_angle_beta 90.00
_cell_angle_gamma 90.00
_space_group_name_H-M_alt 'I 41/a m d'
_space_group_IT_number 141
loop_
_space_group_symop_operation_xyz
'x,y,z'
'-x,-y,-z'
'-y+1/4,x+3/4,z+1/4'
'y+1/4,-x+3/4,-z+1/4'
'-x+1/2,-y,z+1/2'
'x+1/2,y,-z+1/2'
'y+1/4,-x+1/4,z+3/4'
'-y+1/4,x+1/4,-z+3/4'
'x,-y,-z'
'-x,y,z'
'-y+1/4,-x+1/4,-z+3/4'
'y+1/4,x+1/4,z+3/4'
'-x+1/2,y,-z+1/2'
'x+1/2,-y,z+1/2'
'y+1/4,x+3/4,-z+1/4'
'-y+1/4,-x+3/4,z+1/4'
'x+1/2,y+1/2,z+1/2'
'-x+1/2,-y+1/2,-z+1/2'
'-y+3/4,x+1/4,z+3/4'
'y+3/4,-x+1/4,-z+3/4'
'-x,-y+1/2,z'
'x,y+1/2,-z'
'y+3/4,-x+3/4,z+1/4'
'-y+3/4,x+3/4,-z+1/4'
'x+1/2,-y+1/2,-z+1/2'
'-x+1/2,y+1/2,z+1/2'
'-y+3/4,-x+3/4,-z+1/4'
'y+3/4,x+3/4,z+1/4'
'-x,y+1/2,-z'
'x,-y+1/2,z'
'y+3/4,x+1/4,-z+3/4'
'-y+3/4,-x+1/4,z+3/4'
loop_
_atom_site_label
_atom_site_type_symbol
_atom_site_fract_x
_atom_site_fract_y
_atom_site_fract_z
_atom_site_occupancy
Sc1 Sc 0.000 0.250 0.048 1
Sn1 Sn 0.000 0.250 0.217 1
Sn2 Sn 0.000 0.250 0.375 1
Sn3 Sn 0.000 0.250 0.875 1
```

Structure and computed powder X-ray diffraction pattern of Ba2LiOsO6 (a cell relaxed with GGA-PBE; λ = 1.5418 Å (Cu Kα)).
Lines closer than 0.1° are merged.

Main lines, by angle (10° ≤ 2θ ≤ 80°):
| 2θ/deg | I/Imax | index |
| --- | --- | --- |
| 18.72 | 46 | 1 1 1 |
| 30.81 | 100 | 2 2 0 |
| 36.29 | 23 | 3 1 1 |
| 44.13 | 31 | 4 0 0 |
| 54.78 | 40 | 4 2 2 |
| 64.18 | 19 | 4 4 0 |

Crystal structure
```
data_Ba2LiOsO6
_chemical_formula_sum 'Ba8 Li4 Os4 O24'
_cell_length_a 8.209
_cell_length_b 8.209
_cell_length_c 8.209
_cell_angle_alpha 90.00
_cell_angle_beta 90.00
_cell_angle_gamma 90.00
_space_group_name_H-M_alt 'F m -3 m'
_space_group_IT_number 225
_space_group_name_Hall '-F 4 2 3'
loop_
_atom_site_label
_atom_site_type_symbol
_atom_site_fract_x
_atom_site_fract_y
_atom_site_fract_z
_atom_site_occupancy
Ba1 Ba 0.250 0.250 0.250 1
Li1 Li 0.000 0.000 0.000 1
Os1 Os 0.000 0.000 0.500 1
O1 O 0.000 0.000 0.267 1
```

Structure and computed powder X-ray diffraction pattern of BaCaEuSbO6 (a cell relaxed with GGA-PBE; λ = 1.5418 Å (Cu Kα)).
Lines closer than 0.1° are merged.

Main lines, by angle (10° ≤ 2θ ≤ 80°):
| 2θ/deg | I/Imax | index |
| --- | --- | --- |
| 18.20 | 15 | 1 1 1 |
| 29.91 | 100 | 2 0 2 |
| 29.98 | 48 | 2 2 0 |
| 53.08 | 44 | 2 4 2 |
| 53.26 | 22 | 4 2 2 |
| 62.27 | 16 | 4 4 0 |

Crystal structure
```
data_BaCaEuSbO6
_chemical_formula_sum 'Ba4 Ca4 Eu4 Sb4 O24'
_cell_length_a 8.408
_cell_length_b 8.452
_cell_length_c 8.473
_cell_angle_alpha 90.00
_cell_angle_beta 90.00
_cell_angle_gamma 90.00
_space_group_name_H-M_alt 'P n n n'
_space_group_IT_number 48
loop_
_space_group_symop_operation_xyz
'x,y,z'
'-x,-y,-z'
'-x+1/2,-y+1/2,z'
'x+1/2,y+1/2,-z'
'x,-y+1/2,-z+1/2'
'-x,y+1/2,z+1/2'
'-x+1/2,y,-z+1/2'
'x+1/2,-y,z+1/2'
loop_
_atom_site_label
_atom_site_type_symbol
_atom_site_fract_x
_atom_site_fract_y
_atom_site_fract_z
_atom_site_occupancy
Ba1 Ba 0.250 0.250 0.250 1
Ba2 Ba 0.250 0.750 0.750 1
Ca1 Ca 0.000 0.000 0.000 1
Eu1 Eu 0.250 0.250 0.750 1
Eu2 Eu 0.250 0.750 0.250 1
Sb1 Sb 0.000 0.000 0.500 1
O1 O 0.031 0.234 0.478 1
O2 O 0.054 0.034 0.732 1
O3 O 0.232 0.542 0.053 1
```

Structure and computed powder X-ray diffraction pattern of Hg2PbS2I2 (a cell relaxed with GGA-PBE; λ = 1.5418 Å (Cu Kα)).
Lines closer than 0.1° are merged.

Main lines, by angle (10° ≤ 2θ ≤ 80°):
| 2θ/deg | I/Imax | index |
| --- | --- | --- |
| 23.21 | 31 | 3 2 0 |
| 27.85 | 100 | 3 1 1 |
| 32.80 | 23 | 4 1 1 |
| 38.21 | 22 | 0 0 2 |
| 40.02 | 31 | 5 2 1 |
| 62.89 | 18 | 3 1 3 |

Crystal structure
```
data_Hg2PbS2I2
_chemical_formula_sum 'Hg8 Pb4 S8 I8'
_cell_length_a 13.817
_cell_length_b 13.817
_cell_length_c 4.711
_cell_angle_alpha 90.00
_cell_angle_beta 90.00
_cell_angle_gamma 90.00
_space_group_name_H-M_alt 'P 4/m b m'
_space_group_IT_number 127
_space_group_name_Hall '-P 4 2ab'
loop_
_atom_site_label
_atom_site_type_symbol
_atom_site_fract_x
_atom_site_fract_y
_atom_site_fract_z
_atom_site_occupancy
Hg1 Hg 0.086 0.168 0.000 1
Pb1 Pb 0.137 0.637 0.500 1
S1 S 0.075 0.763 0.000 1
I1 I 0.000 0.000 0.500 1
I2 I 0.000 0.500 0.000 1
I3 I 0.194 0.306 0.500 1
```

Structure and computed powder X-ray diffraction pattern of SrMg14W (a cell relaxed with GGA-PBE; λ = 1.5418 Å (Cu Kα)).
Lines closer than 0.1° are merged.

Main lines, by angle (10° ≤ 2θ ≤ 80°):
| 2θ/deg | I/Imax | index |
| --- | --- | --- |
| 15.77 | 30 | 0 0 2 |
| 17.99 | 42 | 1 0 2 |
| 31.82 | 32 | 0 0 4 |
| 34.94 | 24 | 4 0 0 |
| 36.43 | 100 | 2 2 2 |
| 47.98 | 20 | 4 0 4 |

Crystal structure
```
data_SrMg14W
_chemical_formula_sum 'Sr2 Mg28 W2'
_cell_length_a 10.270
_cell_length_b 6.502
_cell_length_c 11.235
_cell_angle_alpha 90.00
_cell_angle_beta 90.00
_cell_angle_gamma 90.00
_space_group_name_H-M_alt 'A m m 2'
_space_group_IT_number 38
loop_
_space_group_symop_operation_xyz
'x,y,z'
'-x,-y,z'
'-x,y,z'
'x,-y,z'
'x,y+1/2,z+1/2'
'-x,-y+1/2,z+1/2'
'-x,y+1/2,z+1/2'
'x,-y+1/2,z+1/2'
loop_
_atom_site_label
_atom_site_type_symbol
_atom_site_fract_x
_atom_site_fract_y
_atom_site_fract_z
_atom_site_occupancy
Sr1 Sr 0.000 0.000 0.000 1
Mg1 Mg 0.000 0.243 0.250 1
Mg2 Mg 0.231 0.000 0.652 1
Mg3 Mg 0.251 0.235 0.411 1
Mg4 Mg 0.267 0.000 0.165 1
Mg5 Mg 0.500 0.000 0.495 1
Mg6 Mg 0.500 0.000 0.991 1
Mg7 Mg 0.500 0.243 0.745 1
W1 W 0.000 0.000 0.480 1
```

Structure and computed powder X-ray diffraction pattern of TiH2 (a cell relaxed with GGA-PBE; λ = 1.5418 Å (Cu Kα)).
Lines closer than 0.1° are merged.

Main lines, by angle (10° ≤ 2θ ≤ 80°):
| 2θ/deg | I/Imax | index |
| --- | --- | --- |
| 35.19 | 100 | 1 0 1 |
| 39.91 | 31 | 1 1 0 |
| 42.69 | 13 | 0 0 2 |
| 57.72 | 11 | 2 0 0 |
| 59.86 | 20 | 1 1 2 |
| 69.43 | 23 | 2 1 1 |

Crystal structure
```
data_TiH2
_chemical_formula_sum 'Ti2 H4'
_cell_length_a 3.194
_cell_length_b 3.194
_cell_length_c 4.236
_cell_angle_alpha 90.00
_cell_angle_beta 90.00
_cell_angle_gamma 90.00
_space_group_name_H-M_alt 'I 4/m m m'
_space_group_IT_number 139
_space_group_name_Hall '-I 4 2'
loop_
_atom_site_label
_atom_site_type_symbol
_atom_site_fract_x
_atom_site_fract_y
_atom_site_fract_z
_atom_site_occupancy
Ti1 Ti 0.000 0.000 0.000 1
H1 H 0.000 0.500 0.250 1
```

Please write out number 3 again, unchanged.
Structure and computed powder X-ray diffraction pattern of BaCaEuSbO6 (a cell relaxed with GGA-PBE; λ = 1.5418 Å (Cu Kα)).
Lines closer than 0.1° are merged.

Main lines, by angle (10° ≤ 2θ ≤ 80°):
| 2θ/deg | I/Imax | index |
| --- | --- | --- |
| 18.20 | 15 | 1 1 1 |
| 29.91 | 100 | 2 0 2 |
| 29.98 | 48 | 2 2 0 |
| 53.08 | 44 | 2 4 2 |
| 53.26 | 22 | 4 2 2 |
| 62.27 | 16 | 4 4 0 |

Crystal structure
```
data_BaCaEuSbO6
_chemical_formula_sum 'Ba4 Ca4 Eu4 Sb4 O24'
_cell_length_a 8.408
_cell_length_b 8.452
_cell_length_c 8.473
_cell_angle_alpha 90.00
_cell_angle_beta 90.00
_cell_angle_gamma 90.00
_space_group_name_H-M_alt 'P n n n'
_space_group_IT_number 48
loop_
_space_group_symop_operation_xyz
'x,y,z'
'-x,-y,-z'
'-x+1/2,-y+1/2,z'
'x+1/2,y+1/2,-z'
'x,-y+1/2,-z+1/2'
'-x,y+1/2,z+1/2'
'-x+1/2,y,-z+1/2'
'x+1/2,-y,z+1/2'
loop_
_atom_site_label
_atom_site_type_symbol
_atom_site_fract_x
_atom_site_fract_y
_atom_site_fract_z
_atom_site_occupancy
Ba1 Ba 0.250 0.250 0.250 1
Ba2 Ba 0.250 0.750 0.750 1
Ca1 Ca 0.000 0.000 0.000 1
Eu1 Eu 0.250 0.250 0.750 1
Eu2 Eu 0.250 0.750 0.250 1
Sb1 Sb 0.000 0.000 0.500 1
O1 O 0.031 0.234 0.478 1
O2 O 0.054 0.034 0.732 1
O3 O 0.232 0.542 0.053 1
```

Q: Number 4 is which compound?
A: Hg2PbS2I2

Repeat the fourth record exactly.
Structure and computed powder X-ray diffraction pattern of Hg2PbS2I2 (a cell relaxed with GGA-PBE; λ = 1.5418 Å (Cu Kα)).
Lines closer than 0.1° are merged.

Main lines, by angle (10° ≤ 2θ ≤ 80°):
| 2θ/deg | I/Imax | index |
| --- | --- | --- |
| 23.21 | 31 | 3 2 0 |
| 27.85 | 100 | 3 1 1 |
| 32.80 | 23 | 4 1 1 |
| 38.21 | 22 | 0 0 2 |
| 40.02 | 31 | 5 2 1 |
| 62.89 | 18 | 3 1 3 |

Crystal structure
```
data_Hg2PbS2I2
_chemical_formula_sum 'Hg8 Pb4 S8 I8'
_cell_length_a 13.817
_cell_length_b 13.817
_cell_length_c 4.711
_cell_angle_alpha 90.00
_cell_angle_beta 90.00
_cell_angle_gamma 90.00
_space_group_name_H-M_alt 'P 4/m b m'
_space_group_IT_number 127
_space_group_name_Hall '-P 4 2ab'
loop_
_atom_site_label
_atom_site_type_symbol
_atom_site_fract_x
_atom_site_fract_y
_atom_site_fract_z
_atom_site_occupancy
Hg1 Hg 0.086 0.168 0.000 1
Pb1 Pb 0.137 0.637 0.500 1
S1 S 0.075 0.763 0.000 1
I1 I 0.000 0.000 0.500 1
I2 I 0.000 0.500 0.000 1
I3 I 0.194 0.306 0.500 1
```